La12CeY5: calculated PXRD pattern (copper Kα), based on DFT lattice parameters and positions (PBE).

Largest 8 diffraction maxima, in order of rising 2θ, 2θ from 10° to 90°:
two_theta, d [Å], Rel. int.
29.65, 3.013, 100
29.80, 2.998, 99
34.28, 2.616, 34
34.55, 2.596, 66
49.46, 1.843, 60
58.62, 1.575, 21
58.82, 1.570, 28
59.09, 1.563, 28

Structure:
Cell: 11.042 11.042 6.395 Å, 106.63 106.63 59.59°
Atoms (fractional coordinates):
La (0.003, 0.668, 0.169)
La (0.163, 0.503, 0.667)
La (0.166, 0.834, 0.000)
La (0.327, 0.673, 0.500)
La (0.332, 0.997, 0.831)
La (0.497, 0.837, 0.333)
La (0.503, 0.163, 0.667)
La (0.668, 0.003, 0.169)
La (0.673, 0.327, 0.500)
La (0.834, 0.166, 0.000)
La (0.837, 0.497, 0.333)
La (0.997, 0.332, 0.831)
Ce (0.000, 0.000, 0.500)
Y (0.165, 0.165, 0.335)
Y (0.333, 0.333, 0.169)
Y (0.500, 0.500, 0.000)
Y (0.667, 0.667, 0.831)
Y (0.835, 0.835, 0.665)

La3CeY: calculated PXRD pattern (copper Kα), based on DFT lattice parameters and positions (PBE).

Largest 8 diffraction maxima, in order of rising 2θ, 2θ from 10° to 90°:
two_theta, d [Å], Rel. int.
29.79, 2.999, 84
30.08, 2.970, 66
30.86, 2.898, 100
33.75, 2.656, 80
35.51, 2.528, 44
50.21, 1.817, 49
51.98, 1.759, 21
59.65, 1.550, 56

Structure:
Cell: 3.634 3.634 29.704 Å, 90.00 90.00 120.00°
Atoms (fractional coordinates):
La (0.000, 0.000, 0.000)
La (0.000, 0.000, 0.500)
La (0.333, 0.667, 0.107)
La (0.333, 0.667, 0.797)
La (0.667, 0.333, 0.297)
La (0.667, 0.333, 0.607)
Ce (0.000, 0.000, 0.203)
Ce (0.000, 0.000, 0.703)
Y (0.333, 0.667, 0.401)
Y (0.667, 0.333, 0.901)

LaCeZn: calculated PXRD pattern (copper Kα), based on DFT lattice parameters and positions (PBE).

Largest 8 diffraction maxima, in order of rising 2θ, 2θ from 10° to 90°:
two_theta, d [Å], Rel. int.
31.90, 2.805, 100
36.93, 2.434, 65
49.58, 1.839, 29
53.39, 1.716, 23
63.40, 1.467, 27
66.68, 1.403, 12
78.74, 1.215, 14
87.33, 1.117, 11

Structure:
Cell: 4.869 4.869 3.757 Å, 90.00 90.00 120.00°
Atoms (fractional coordinates):
La (0.000, 0.000, 0.000)
Ce (0.333, 0.667, 0.334)
Zn (0.667, 0.333, 0.652)